No. 1
This entry pairs a crystal structure of La2B2O with its simulated XRD peak list. Radiation: CuKα. Structure: a crystal structure in Alexandria, relaxed with GGA-PBE.

Cell and atoms:
Cell: 7.052 7.052 3.951 Å, 90.00 90.00 90.00°
Fractional coordinates of all 10 atoms:
La 0.211 0.289 0.000
La 0.289 0.789 0.000
La 0.711 0.211 0.000
La 0.789 0.711 0.000
B 0.077 0.577 0.500
B 0.423 0.077 0.500
B 0.577 0.923 0.500
B 0.923 0.423 0.500
O 0.000 0.000 0.000
O 0.500 0.500 0.000

Peak list (12 most intense, 2θ = 5–70°, sorted by position)
2θ = 22.5°, I = 98
2θ = 25.3°, I = 90
2θ = 28.3°, I = 42
2θ = 34.1°, I = 100
2θ = 36.0°, I = 43
2θ = 36.5°, I = 53
2θ = 42.9°, I = 48
2θ = 45.9°, I = 18
2θ = 53.1°, I = 25
2θ = 53.6°, I = 26
2θ = 58.8°, I = 35
2θ = 59.7°, I = 19


No. 2
This entry pairs a crystal structure of Tb2NdAl with its simulated XRD peak list. Radiation: CuKα. Structure: a crystal structure in Alexandria, relaxed with GGA-PBE.

Cell and atoms:
Cell: 5.346 3.708 11.618 Å, 90.00 90.00 90.00°
Fractional coordinates of all 8 atoms:
Tb 0.250 0.000 0.113
Tb 0.250 0.000 0.682
Tb 0.750 0.000 0.318
Tb 0.750 0.000 0.887
Nd 0.250 0.500 0.398
Nd 0.750 0.500 0.602
Al 0.250 0.500 0.894
Al 0.750 0.500 0.106

Peak list (12 most intense, 2θ = 5–70°, sorted by position)
2θ = 25.2°, I = 12
2θ = 28.5°, I = 32
2θ = 30.8°, I = 16
2θ = 33.2°, I = 100
2θ = 33.5°, I = 30
2θ = 35.2°, I = 9
2θ = 46.1°, I = 27
2θ = 49.1°, I = 10
2θ = 57.8°, I = 9
2θ = 58.2°, I = 26
2θ = 59.7°, I = 19
2θ = 60.8°, I = 11


No. 3
This entry pairs a crystal structure of ReC2 with its simulated XRD peak list. Radiation: CuKα. Structure: a crystal structure in Alexandria, relaxed with GGA-PBE.

Cell and atoms:
Cell: 4.430 2.870 4.979 Å, 90.00 112.02 90.00°
Fractional coordinates of all 6 atoms:
Re 0.000 0.244 0.250
Re 0.000 0.756 0.750
C 0.333 0.246 0.695
C 0.333 0.754 0.195
C 0.667 0.246 0.805
C 0.667 0.754 0.305

Peak list (10 most intense, 2θ = 5–70°, sorted by position)
2θ = 21.6°, I = 100
2θ = 36.9°, I = 72
2θ = 39.1°, I = 90
2θ = 44.1°, I = 16
2θ = 47.0°, I = 47
2θ = 52.3°, I = 35
2θ = 64.9°, I = 34
2θ = 65.0°, I = 7
2θ = 68.6°, I = 6
2θ = 69.3°, I = 27


No. 4
This entry pairs a crystal structure of MnCrInS4 with its simulated XRD peak list. Radiation: CuKα. Structure: a crystal structure in Alexandria, relaxed with GGA-PBE.

Cell and atoms:
Cell: 7.407 7.407 7.407 Å, 120.92 119.85 89.34°
Fractional coordinates of all 14 atoms:
Mn 0.377 0.127 0.250
Mn 0.623 0.873 0.750
Cr 0.000 0.000 0.500
Cr 0.000 0.500 0.000
In 0.000 0.500 0.500
In 0.500 0.500 0.000
S 0.224 0.250 0.974
S 0.224 0.750 0.474
S 0.232 0.233 0.502
S 0.232 0.730 0.998
S 0.768 0.270 0.002
S 0.768 0.767 0.498
S 0.776 0.250 0.526
S 0.776 0.750 0.026

Peak list (12 most intense, 2θ = 5–70°, sorted by position)
2θ = 14.8°, I = 57
2θ = 24.4°, I = 21
2θ = 28.2°, I = 66
2θ = 28.3°, I = 100
2θ = 28.5°, I = 34
2θ = 34.0°, I = 36
2θ = 34.5°, I = 72
2θ = 44.7°, I = 26
2θ = 45.4°, I = 41
2θ = 49.1°, I = 25
2θ = 49.2°, I = 99
2θ = 49.9°, I = 25


No. 5
This entry pairs a crystal structure of Ac6Ni2IrAu with its simulated XRD peak list. Radiation: CuKα. Structure: a crystal structure in Alexandria, relaxed with GGA-PBE.

Cell and atoms:
Cell: 8.238 8.238 8.238 Å, 54.92 54.92 54.92°
Fractional coordinates of all 10 atoms:
Ac 0.002 0.340 0.658
Ac 0.133 0.864 0.518
Ac 0.340 0.658 0.002
Ac 0.518 0.133 0.864
Ac 0.658 0.002 0.340
Ac 0.864 0.518 0.133
Ni 0.250 0.250 0.250
Ni 0.746 0.746 0.746
Ir 0.928 0.928 0.928
Au 0.430 0.430 0.430

Peak list (12 most intense, 2θ = 5–70°, sorted by position)
2θ = 15.9°, I = 15
2θ = 21.7°, I = 9
2θ = 25.5°, I = 10
2θ = 26.7°, I = 100
2θ = 34.9°, I = 53
2θ = 41.2°, I = 40
2θ = 45.8°, I = 24
2θ = 49.1°, I = 9
2θ = 49.8°, I = 17
2θ = 55.1°, I = 13
2θ = 66.5°, I = 12
2θ = 68.8°, I = 15


No. 6
This entry pairs a crystal structure of TbPbAu with its simulated XRD peak list. Radiation: CuKα. Structure: a crystal structure in Alexandria, relaxed with GGA-PBE.

Cell and atoms:
Cell: 3.607 3.607 11.906 Å, 90.00 90.00 90.00°
Fractional coordinates of all 6 atoms:
Tb 0.000 0.000 0.000
Tb 0.500 0.500 0.500
Pb 0.000 0.000 0.298
Pb 0.500 0.500 0.798
Au 0.000 0.000 0.629
Au 0.500 0.500 0.129

Peak list (12 most intense, 2θ = 5–70°, sorted by position)
2θ = 14.9°, I = 4
2θ = 25.8°, I = 3
2θ = 30.0°, I = 4
2θ = 33.6°, I = 100
2θ = 35.2°, I = 49
2θ = 45.7°, I = 13
2θ = 46.9°, I = 4
2θ = 50.6°, I = 18
2θ = 59.0°, I = 15
2θ = 60.0°, I = 2
2θ = 60.2°, I = 5
2θ = 62.1°, I = 35


No. 7
This entry pairs a crystal structure of LiTb4Nd3Se8 with its simulated XRD peak list. Radiation: CuKα. Structure: a crystal structure in Alexandria, relaxed with GGA-PBE.

Cell and atoms:
Cell: 8.286 8.286 8.286 Å, 59.91 59.91 59.91°
Fractional coordinates of all 16 atoms:
Li 0.000 0.000 0.000
Tb 0.000 0.000 0.500
Tb 0.000 0.500 0.000
Tb 0.500 0.000 0.000
Tb 0.500 0.500 0.500
Nd 0.000 0.500 0.500
Nd 0.500 0.000 0.500
Nd 0.500 0.500 0.000
Se 0.238 0.754 0.754
Se 0.246 0.246 0.246
Se 0.246 0.246 0.762
Se 0.246 0.762 0.246
Se 0.754 0.238 0.754
Se 0.754 0.754 0.238
Se 0.754 0.754 0.754
Se 0.762 0.246 0.246

Peak list (12 most intense, 2θ = 5–70°, sorted by position)
2θ = 13.1°, I = 7
2θ = 15.1°, I = 4
2θ = 21.5°, I = 3
2θ = 25.2°, I = 5
2θ = 26.4°, I = 12
2θ = 30.5°, I = 100
2θ = 33.3°, I = 3
2θ = 43.7°, I = 74
2θ = 51.8°, I = 6
2θ = 54.2°, I = 7
2θ = 54.3°, I = 19
2θ = 63.6°, I = 12


No. 8
This entry pairs a crystal structure of NaTl2Hg8 with its simulated XRD peak list. Radiation: CuKα. Structure: a crystal structure in Alexandria, relaxed with GGA-PBE.

Cell and atoms:
Cell: 4.871 4.871 13.391 Å, 90.00 90.00 90.00°
Fractional coordinates of all 11 atoms:
Na 0.000 0.000 0.000
Tl 0.000 0.000 0.332
Tl 0.000 0.000 0.668
Hg 0.000 0.500 0.151
Hg 0.000 0.500 0.500
Hg 0.000 0.500 0.849
Hg 0.500 0.000 0.151
Hg 0.500 0.000 0.500
Hg 0.500 0.000 0.849
Hg 0.500 0.500 0.329
Hg 0.500 0.500 0.671

Peak list (12 most intense, 2θ = 5–70°, sorted by position)
2θ = 6.6°, I = 19
2θ = 26.7°, I = 11
2θ = 29.2°, I = 10
2θ = 32.8°, I = 100
2θ = 36.9°, I = 38
2θ = 40.4°, I = 13
2θ = 53.2°, I = 14
2θ = 55.9°, I = 20
2θ = 61.6°, I = 5
2θ = 63.9°, I = 30
2θ = 68.7°, I = 9
2θ = 68.9°, I = 11